Simulated XRD peak list
Compound: ThMg3Ag2
Radiation: copper Kα
Structure: DFT lattice parameters and positions (PBE)
Neutral-atom scattering factors, no anomalous dispersion.

Structure:
a b c (Å): 10.0304 10.0304 4.6632
angles (deg): 90.00 90.00 120.00
Space group P6/mmm (No. 191)
Inequivalent atoms, fractional coordinates:
1 Th 0.0000 0.0000 0.0000 x1
2 Th 0.3333 0.6667 0.5000 x2
3 Mg 0.0000 0.3003 0.5000 x6
4 Mg 0.0000 0.5000 0.0000 x3
5 Ag 0.1876 0.3752 0.0000 x6

Main lines, by angle (5 to 70 degrees two-theta):
2θ 17.68, I = 29, hkl 1 1 0; 2θ 21.63, I = 46, hkl 1 0 1; 2θ 26.09, I = 23, hkl 1 1 1; 2θ 30.88, I = 15, hkl 3 0 0; 2θ 33.38, I = 100, hkl 2 1 1; 2θ 35.81, I = 58, hkl 2 2 0; 2θ 36.53, I = 30, hkl 3 0 1; 2θ 38.61, I = 26, hkl 0 0 2; 2θ 53.68, I = 36, hkl 2 2 2; 2θ 56.53, I = 22, hkl 5 0 1